Diffraction record for AlPO4. The X-ray powder pattern is theoretical, not measured: it uses a GGA-PBE-relaxed structure and Cu Ka.

Principal peaks in the range 2θ = 15–90°, in order of rising 2θ:
20.29 deg, d 4.378, I 20.0; 25.86 deg, d 3.445, I 100.0; 35.52 deg, d 2.527, I 6.4; 38.24 deg, d 2.353, I 6.4; 41.24 deg, d 2.189, I 5.1; 44.46 deg, d 2.038, I 3.7; 48.60 deg, d 1.873, I 14.2; 53.18 deg, d 1.722, I 3.9; 58.15 deg, d 1.586, I 9.3; 65.59 deg, d 1.423, I 6.0; 65.88 deg, d 1.418, I 7.6; 66.19 deg, d 1.412, I 4.1

Atomic structure:
```
AlPO4
1.0
5.055 0.000 0.000
-2.527 4.378 0.000
0.000 0.000 11.164
Al P O
3 3 12
direct
0.000 0.473 0.333
0.473 0.000 0.667
0.527 0.527 0.000
0.000 0.474 0.833
0.474 0.000 0.167
0.526 0.526 0.500
0.138 0.720 0.735
0.171 0.754 0.222
0.246 0.417 0.889
0.280 0.418 0.402
0.417 0.246 0.111
0.418 0.280 0.598
0.582 0.862 0.068
0.583 0.829 0.555
0.720 0.138 0.265
0.754 0.171 0.778
0.829 0.583 0.445
0.862 0.582 0.932
```

=====

Diffraction record for CaLa2SbO6. The X-ray powder pattern is theoretical, not measured: it uses a GGA-PBE-relaxed structure and Cu Ka.

Principal peaks in the range 2θ = 15–90°, in order of rising 2θ:
17.88 deg, d 4.960, I 32.9; 29.34 deg, d 3.044, I 100.0; 29.71 deg, d 3.007, I 94.0; 35.05 deg, d 2.560, I 19.8; 42.25 deg, d 2.139, I 47.0; 52.04 deg, d 1.757, I 31.1; 52.27 deg, d 1.750, I 42.2; 55.80 deg, d 1.647, I 13.4; 60.87 deg, d 1.522, I 13.9; 65.00 deg, d 1.435, I 14.5; 69.19 deg, d 1.358, I 15.4; 84.34 deg, d 1.148, I 12.2

Atomic structure:
```
CaLa2SbO6
1.0
3.044 1.757 4.881
-3.044 1.757 4.881
0.000 -3.514 4.881
Ca La Sb O
1 2 1 6
direct
0.000 0.000 0.000
0.269 0.269 0.269
0.731 0.731 0.731
0.500 0.500 0.500
0.147 0.376 0.713
0.287 0.853 0.624
0.376 0.713 0.147
0.624 0.287 0.853
0.713 0.147 0.376
0.853 0.624 0.287
```

=====

Diffraction record for Rb2ScTlF6. The X-ray powder pattern is theoretical, not measured: it uses a GGA-PBE-relaxed structure and Cu Ka.

Principal peaks in the range 2θ = 15–90°, in order of rising 2θ:
16.33 deg, d 5.427, I 22.0; 18.88 deg, d 4.700, I 10.6; 26.83 deg, d 3.323, I 100.0; 31.57 deg, d 2.834, I 22.9; 38.30 deg, d 2.350, I 35.8; 41.90 deg, d 2.156, I 15.3; 47.38 deg, d 1.919, I 40.0; 50.45 deg, d 1.809, I 7.0; 55.29 deg, d 1.662, I 22.2; 62.50 deg, d 1.486, I 20.8; 75.73 deg, d 1.256, I 22.8; 88.21 deg, d 1.108, I 11.1

Atomic structure:
```
Rb2ScTlF6
1.0
0.000 4.700 4.700
4.700 0.000 4.700
4.700 4.700 0.000
Rb Sc Tl F
2 1 1 6
direct
0.250 0.250 0.250
0.750 0.750 0.750
0.000 0.000 0.000
0.500 0.500 0.500
0.217 0.217 0.783
0.217 0.783 0.217
0.217 0.783 0.783
0.783 0.217 0.217
0.783 0.217 0.783
0.783 0.783 0.217
```

=====

Diffraction record for K2CdC4O10. The X-ray powder pattern is theoretical, not measured: it uses a GGA-PBE-relaxed structure and Cu Ka.

Principal peaks in the range 2θ = 15–90°, in order of rising 2θ:
15.25 deg, d 5.809, I 100.0; 19.45 deg, d 4.563, I 67.4; 21.53 deg, d 4.127, I 23.3; 24.78 deg, d 3.593, I 21.5; 25.66 deg, d 3.472, I 66.0; 30.78 deg, d 2.905, I 46.6; 32.10 deg, d 2.788, I 33.0; 32.46 deg, d 2.758, I 86.1; 35.26 deg, d 2.546, I 26.5; 37.01 deg, d 2.429, I 27.2; 41.74 deg, d 2.164, I 38.2; 44.82 deg, d 2.022, I 31.4

Atomic structure:
```
K2CdC4O10
1.0
0.000 9.074 3.913
7.562 0.000 3.913
7.562 9.074 0.000
K Cd C O
4 2 8 20
direct
0.314 0.686 0.546
0.686 0.314 0.454
0.704 0.796 0.936
0.796 0.704 0.564
0.079 0.079 0.921
0.329 0.329 0.171
0.081 0.169 0.152
0.098 0.651 0.169
0.169 0.081 0.599
0.304 0.307 0.922
0.307 0.304 0.467
0.328 0.783 0.946
0.651 0.098 0.081
0.783 0.328 0.943
0.046 0.149 0.286
0.063 0.470 0.300
0.084 0.950 0.780
0.149 0.046 0.519
0.273 0.792 0.274
0.327 0.335 0.548
0.335 0.327 0.789
0.362 0.961 0.816
0.389 0.434 0.289
0.434 0.389 0.888
0.461 0.702 0.915
0.470 0.063 0.166
0.590 0.976 0.458
0.702 0.461 0.923
0.731 0.964 0.101
0.792 0.273 0.660
0.950 0.084 0.187
0.961 0.362 0.861
0.964 0.731 0.204
0.976 0.590 0.977
```

=====

Diffraction record for LiCd2HSe2O7. The X-ray powder pattern is theoretical, not measured: it uses a GGA-PBE-relaxed structure and Cu Ka.

Principal peaks in the range 2θ = 15–90°, in order of rising 2θ:
17.22 deg, d 5.150, I 76.7; 18.58 deg, d 4.777, I 47.4; 23.09 deg, d 3.851, I 38.1; 23.99 deg, d 3.710, I 42.0; 28.57 deg, d 3.124, I 100.0; 29.80 deg, d 2.998, I 30.7; 32.29 deg, d 2.773, I 70.4; 32.45 deg, d 2.759, I 70.7; 33.46 deg, d 2.678, I 34.9; 34.30 deg, d 2.614, I 56.8; 35.76 deg, d 2.511, I 30.2; 49.29 deg, d 1.849, I 39.3

Atomic structure:
```
LiCd2HSe2O7
1.0
5.917 0.000 0.000
0.000 10.465 0.000
-0.103 0.000 11.702
Li Cd H Se O
4 8 4 8 28
direct
0.129 0.188 0.139
0.129 0.312 0.639
0.871 0.688 0.361
0.871 0.812 0.861
0.119 0.603 0.105
0.119 0.897 0.605
0.352 0.618 0.795
0.352 0.882 0.295
0.648 0.118 0.705
0.648 0.382 0.205
0.881 0.103 0.395
0.881 0.397 0.895
0.328 0.083 0.455
0.328 0.417 0.955
0.672 0.583 0.045
0.672 0.917 0.545
0.122 0.089 0.844
0.122 0.411 0.344
0.396 0.665 0.498
0.396 0.835 0.998
0.604 0.165 0.002
0.604 0.335 0.502
0.878 0.589 0.656
0.878 0.911 0.156
0.021 0.225 0.776
0.021 0.275 0.276
0.120 0.003 0.169
0.120 0.497 0.669
0.135 0.730 0.462
0.135 0.770 0.962
0.224 0.012 0.440
0.224 0.488 0.940
0.295 0.017 0.742
0.295 0.483 0.242
0.429 0.249 0.093
0.429 0.251 0.593
0.441 0.746 0.626
0.441 0.754 0.126
0.559 0.246 0.874
0.559 0.254 0.374
0.571 0.749 0.407
0.571 0.751 0.907
0.705 0.517 0.758
0.705 0.983 0.258
0.776 0.512 0.060
0.776 0.988 0.560
0.865 0.230 0.038
0.865 0.270 0.538
0.880 0.503 0.331
0.880 0.997 0.831
0.979 0.725 0.724
0.979 0.775 0.224
```

=====

Diffraction record for BeH6N2F4. The X-ray powder pattern is theoretical, not measured: it uses a GGA-PBE-relaxed structure and Cu Ka.

Principal peaks in the range 2θ = 15–90°, in order of rising 2θ:
22.64 deg, d 3.927, I 54.2; 24.15 deg, d 3.685, I 34.2; 24.39 deg, d 3.650, I 44.0; 26.72 deg, d 3.336, I 35.0; 28.97 deg, d 3.082, I 46.9; 29.45 deg, d 3.033, I 75.6; 35.43 deg, d 2.533, I 100.0; 36.09 deg, d 2.489, I 76.1; 39.35 deg, d 2.290, I 52.0; 39.69 deg, d 2.271, I 82.8; 41.52 deg, d 2.175, I 30.2; 47.18 deg, d 1.926, I 28.7

Atomic structure:
```
BeH6N2F4
1.0
5.429 0.000 0.000
0.000 7.854 0.000
-0.094 0.000 9.947
Be H N F
4 24 8 16
direct
0.227 0.212 0.426
0.227 0.288 0.926
0.773 0.712 0.074
0.773 0.788 0.574
0.053 0.576 0.255
0.053 0.924 0.755
0.190 0.657 0.839
0.190 0.843 0.339
0.203 0.695 0.465
0.203 0.805 0.965
0.323 0.635 0.186
0.323 0.865 0.686
0.329 0.017 0.812
0.329 0.483 0.312
0.467 0.736 0.882
0.467 0.764 0.382
0.533 0.236 0.618
0.533 0.264 0.118
0.671 0.517 0.688
0.671 0.983 0.188
0.677 0.135 0.314
0.677 0.365 0.814
0.797 0.195 0.035
0.797 0.305 0.535
0.810 0.157 0.661
0.810 0.343 0.161
0.947 0.076 0.245
0.947 0.424 0.745
0.243 0.596 0.275
0.243 0.904 0.775
0.278 0.731 0.371
0.278 0.769 0.871
0.722 0.231 0.129
0.722 0.269 0.629
0.757 0.096 0.225
0.757 0.404 0.725
0.015 0.682 0.589
0.015 0.818 0.089
0.211 0.059 0.322
0.211 0.441 0.822
0.270 0.150 0.573
0.270 0.350 0.073
0.452 0.176 0.882
0.452 0.324 0.382
0.548 0.676 0.618
0.548 0.824 0.118
0.730 0.650 0.927
0.730 0.850 0.427
0.789 0.559 0.178
0.789 0.941 0.678
0.985 0.182 0.911
0.985 0.318 0.411
```

=====

> Which formula does entry 6 have?

BeH6N2F4